No. 1
Diffraction record for Ba2NaAgIr. The powder diffraction line list is computed, not measured: it uses the PBE geometry in Alexandria and Cu Kα, 1.54184 Å.

Principal peaks in the range 2θ from 5° to 70°, by intensity:
d 3.224, I 100; d 3.074, I 53; d 1.802, I 37; d 1.893, I 26; d 2.174, I 20; d 1.612, I 15; d 2.403, I 13; d 1.503, I 10; d 1.375, I 9; d 1.387, I 8

Atomic structure:
Cell lengths 6.1477, 6.1477, 4.8061 Å; angles 90.00, 90.00, 90.00 degrees
Element x y z (fractional)
Ba  0.0000  0.5000  0.0000
Ba  0.5000  0.0000  0.0000
Na  0.0000  0.0000  0.0000
Ag  0.5000  0.5000  0.5000
Ir  0.0000  0.0000  0.5000

---

No. 2
Diffraction record for K3Mg3USe8. The powder diffraction line list is computed, not measured: it uses the PBE geometry in Alexandria and Cu Kα, 1.54184 Å.

Principal peaks in the range 2θ from 5° to 70°, by intensity:
d 2.972, I 100; d 7.880, I 78; d 2.986, I 51; d 6.578, I 43; d 2.412, I 37; d 1.999, I 36; d 2.233, I 31; d 6.696, I 22; d 1.970, I 22; d 5.954, I 20

Atomic structure:
Cell lengths 7.9995, 7.9995, 9.1862 Å; angles 116.57, 116.57, 59.02 degrees
Element x y z (fractional)
K  0.0000  0.0000  0.0000
K  0.0000  0.5000  0.0000
K  0.5000  0.0000  0.0000
Mg  0.0000  0.5000  0.5000
Mg  0.5000  0.0000  0.5000
Mg  0.5000  0.5000  0.5000
U  0.0000  0.0000  0.5000
Se  0.2284  0.2284  0.6971
Se  0.2277  0.7407  0.6956
Se  0.2593  0.7723  0.3044
Se  0.2702  0.2702  0.3112
Se  0.7298  0.7298  0.6888
Se  0.7407  0.2277  0.6956
Se  0.7723  0.2593  0.3044
Se  0.7716  0.7716  0.3029

---

No. 3
Diffraction record for Cs2In3I5. The powder diffraction line list is computed, not measured: it uses the PBE geometry in Alexandria and Cu Kα, 1.54184 Å.

Principal peaks in the range 2θ from 5° to 70°, by intensity:
d 3.353, I 100; d 3.425, I 68; d 2.522, I 50; d 2.907, I 49; d 3.245, I 42; d 3.857, I 38; d 3.822, I 32; d 2.884, I 29; d 3.398, I 26; d 2.320, I 24

Atomic structure:
Cell lengths 9.6267, 9.6267, 10.7757 Å; angles 108.24, 108.24, 30.37 degrees
Element x y z (fractional)
Cs  0.1715  0.1715  0.2149
Cs  0.8285  0.8285  0.7851
In  0.0000  0.0000  0.5000
In  0.4382  0.4382  0.2526
In  0.5618  0.5618  0.7474
I  0.1765  0.1765  0.8460
I  0.3671  0.3671  0.5286
I  0.5000  0.5000  0.0000
I  0.6329  0.6329  0.4714
I  0.8235  0.8235  0.1540